Entry 1:
Sc8CuNi2: theoretical PXRD pattern (CuKα), based on a GGA-PBE-relaxed structure.
No peak broadening, texture or thermal motion is included.

```
data_Sc8CuNi2
_cell_length_a 7.8173
_cell_length_b 12.2294
_cell_length_c 4.9781
_cell_angle_alpha 90.00
_cell_angle_beta 106.16
_cell_angle_gamma 90.00
_space_group_name_H-M_alt 'C 1 m 1'
_space_group_IT_number 8
_space_group_name_Hall 'C -2y'
loop_
_atom_site_label
_atom_site_type_symbol
_atom_site_fract_x
_atom_site_fract_y
_atom_site_fract_z
Sc1 Sc 0.0000 0.0000 0.0000
Sc2 Sc 0.0779 0.3736 0.7774
Sc3 Sc 0.1712 0.1264 0.5970
Sc4 Sc 0.2499 0.5000 0.3748
Sc5 Sc 0.3745 0.2321 0.1872
Cu1 Cu 0.3753 0.0000 0.1870
Ni1 Ni 0.3748 0.3066 0.6875
```

Main lines, sorted by position (2θ = 10–90°):
- 23.65°, I = 64
- 33.18°, I = 43
- 34.23°, I = 44
- 34.83°, I = 100
- 36.33°, I = 98
- 36.88°, I = 52
- 37.95°, I = 79
- 41.70°, I = 81
- 42.38°, I = 57
- 48.50°, I = 38

Entry 2:
Sc3Cu2Ni6: theoretical PXRD pattern (CuKα), based on a GGA-PBE-relaxed structure.
No peak broadening, texture or thermal motion is included.

```
data_Sc3Cu2Ni6
_cell_length_a 8.5551
_cell_length_b 8.5551
_cell_length_c 8.5551
_cell_angle_alpha 90.00
_cell_angle_beta 90.00
_cell_angle_gamma 90.00
_space_group_name_H-M_alt 'I m -3 m'
_space_group_IT_number 229
_space_group_name_Hall '-I 4 2 3'
loop_
_atom_site_label
_atom_site_type_symbol
_atom_site_fract_x
_atom_site_fract_y
_atom_site_fract_z
Sc1 Sc 0.0000 0.0000 0.2923
Cu1 Cu 0.2500 0.2500 0.2500
Ni1 Ni 0.0000 0.3440 0.3440
```

Main lines, sorted by position (2θ = 10–90°):
- 14.64°, I = 44
- 36.38°, I = 17
- 39.41°, I = 26
- 42.26°, I = 8
- 44.95°, I = 100
- 47.53°, I = 29
- 52.39°, I = 13
- 67.49°, I = 7
- 73.42°, I = 12
- 82.93°, I = 23

Entry 3:
ZrScCuNi: theoretical PXRD pattern (CuKα), based on a GGA-PBE-relaxed structure.
No peak broadening, texture or thermal motion is included.

```
data_ZrScCuNi
_cell_length_a 4.1470
_cell_length_b 3.2928
_cell_length_c 10.1101
_cell_angle_alpha 90.00
_cell_angle_beta 90.00
_cell_angle_gamma 90.00
_space_group_name_H-M_alt 'A m m 2'
_space_group_IT_number 38
_space_group_name_Hall 'A 2 -2'
loop_
_atom_site_label
_atom_site_type_symbol
_atom_site_fract_x
_atom_site_fract_y
_atom_site_fract_z
Zr1 Zr 0.0000 0.0000 0.0000
Sc1 Sc 0.5000 0.0000 0.2821
Cu1 Cu 0.0000 0.0000 0.7189
Ni1 Ni 0.5000 0.0000 0.5587
```

Main lines, sorted by position (2θ = 10–90°):
- 17.54°, I = 20
- 35.52°, I = 30
- 35.94°, I = 100
- 38.21°, I = 25
- 41.86°, I = 35
- 43.65°, I = 35
- 44.23°, I = 76
- 55.84°, I = 16
- 57.49°, I = 14
- 87.47°, I = 16

Entry 4:
Cu3Ni3Se8: theoretical PXRD pattern (CuKα), based on a GGA-PBE-relaxed structure.
No peak broadening, texture or thermal motion is included.

```
data_Cu3Ni3Se8
_cell_length_a 7.2062
_cell_length_b 7.2062
_cell_length_c 17.6383
_cell_angle_alpha 90.00
_cell_angle_beta 90.00
_cell_angle_gamma 120.00
_space_group_name_H-M_alt 'R -3 m'
_space_group_IT_number 166
_space_group_name_Hall '-R 3 2"'
loop_
_atom_site_label
_atom_site_type_symbol
_atom_site_fract_x
_atom_site_fract_y
_atom_site_fract_z
Cu1 Cu 0.0000 0.0000 0.0000
Cu2 Cu 0.0000 0.0000 0.3762
Ni1 Ni 0.0000 0.5000 0.5000
Se1 Se 0.0000 0.0000 0.2389
Se2 Se 0.0261 0.5130 0.7567
```

Main lines, sorted by position (2θ = 10–90°):
- 15.06°, I = 17
- 24.72°, I = 17
- 29.07°, I = 44
- 30.39°, I = 37
- 35.24°, I = 81
- 46.30°, I = 39
- 50.68°, I = 100
- 63.23°, I = 16
- 74.50°, I = 14
- 85.18°, I = 19

Entry 5:
CuNiSe2: theoretical PXRD pattern (CuKα), based on a GGA-PBE-relaxed structure.
No peak broadening, texture or thermal motion is included.

```
data_CuNiSe2
_cell_length_a 4.1182
_cell_length_b 5.6892
_cell_length_c 6.0038
_cell_angle_alpha 88.18
_cell_angle_beta 87.78
_cell_angle_gamma 73.94
_space_group_name_H-M_alt 'P -1'
_space_group_IT_number 2
_space_group_name_Hall '-P 1'
loop_
_atom_site_label
_atom_site_type_symbol
_atom_site_fract_x
_atom_site_fract_y
_atom_site_fract_z
Cu1 Cu 0.1673 0.4535 0.2987
Ni1 Ni 0.1649 0.9414 0.2049
Se1 Se 0.2597 0.7618 0.5714
Se2 Se 0.2630 0.2366 0.9319
```

Main lines, sorted by position (2θ = 10–90°):
- 27.60°, I = 52
- 28.74°, I = 70
- 33.78°, I = 72
- 34.39°, I = 100
- 34.67°, I = 68
- 34.98°, I = 53
- 45.38°, I = 55
- 45.88°, I = 60
- 47.84°, I = 80
- 51.92°, I = 68

Entry 6:
Cu2NiSe3: theoretical PXRD pattern (CuKα), based on a GGA-PBE-relaxed structure.
No peak broadening, texture or thermal motion is included.

```
data_Cu2NiSe3
_cell_length_a 6.6630
_cell_length_b 11.5194
_cell_length_c 6.7152
_cell_angle_alpha 90.00
_cell_angle_beta 109.66
_cell_angle_gamma 90.00
_space_group_name_H-M_alt 'C 1 c 1'
_space_group_IT_number 9
_space_group_name_Hall 'C -2yc'
loop_
_atom_site_label
_atom_site_type_symbol
_atom_site_fract_x
_atom_site_fract_y
_atom_site_fract_z
Cu1 Cu 0.0000 0.0847 0.0000
Cu2 Cu 0.0055 0.2507 0.5017
Ni1 Ni 0.0019 0.4159 0.0051
Se1 Se 0.1187 0.4238 0.3680
Se2 Se 0.1248 0.2560 0.8793
Se3 Se 0.1352 0.0832 0.3774
```

Main lines, sorted by position (2θ = 10–90°):
- 28.22°, I = 33
- 28.42°, I = 100
- 46.99°, I = 32
- 47.18°, I = 16
- 47.30°, I = 46
- 55.85°, I = 19
- 56.02°, I = 13
- 56.14°, I = 18
- 69.07°, I = 9
- 88.06°, I = 10

Entry 7:
CuNiSe2: theoretical PXRD pattern (CuKα), based on a GGA-PBE-relaxed structure.
No peak broadening, texture or thermal motion is included.

```
data_CuNiSe2
_cell_length_a 3.7153
_cell_length_b 3.7153
_cell_length_c 6.4024
_cell_angle_alpha 90.00
_cell_angle_beta 90.00
_cell_angle_gamma 120.00
_space_group_name_H-M_alt 'P 3 m 1'
_space_group_IT_number 156
_space_group_name_Hall 'P 3 -2"'
loop_
_atom_site_label
_atom_site_type_symbol
_atom_site_fract_x
_atom_site_fract_y
_atom_site_fract_z
Cu1 Cu 0.0000 0.0000 0.0000
Ni1 Ni 0.3333 0.6667 0.2099
Se1 Se 0.3333 0.6667 0.8351
Se2 Se 0.6667 0.3333 0.3590
```

Main lines, sorted by position (2θ = 10–90°):
- 13.83°, I = 61
- 27.73°, I = 20
- 27.87°, I = 20
- 31.11°, I = 100
- 39.72°, I = 74
- 49.04°, I = 68
- 51.38°, I = 59
- 57.33°, I = 18
- 64.86°, I = 16
- 73.75°, I = 19

Entry 8:
Cu2NiSe: theoretical PXRD pattern (CuKα), based on a GGA-PBE-relaxed structure.
No peak broadening, texture or thermal motion is included.

```
data_Cu2NiSe
_cell_length_a 6.9160
_cell_length_b 6.9160
_cell_length_c 4.8074
_cell_angle_alpha 90.00
_cell_angle_beta 90.00
_cell_angle_gamma 90.00
_space_group_name_H-M_alt 'I -4 2 d'
_space_group_IT_number 122
_space_group_name_Hall 'I -4 2bw'
loop_
_atom_site_label
_atom_site_type_symbol
_atom_site_fract_x
_atom_site_fract_y
_atom_site_fract_z
Cu1 Cu 0.2450 0.7500 0.1250
Ni1 Ni 0.0000 0.0000 0.5000
Se1 Se 0.0000 0.0000 0.0000
```

Main lines, sorted by position (2θ = 10–90°):
- 22.52°, I = 1
- 36.76°, I = 100
- 41.88°, I = 69
- 52.96°, I = 33
- 56.92°, I = 53
- 69.70°, I = 14
- 78.18°, I = 10
- 81.48°, I = 18
- 85.54°, I = 16
- 89.66°, I = 14

Entry 9:
CuNiSe3: theoretical PXRD pattern (CuKα), based on a GGA-PBE-relaxed structure.
No peak broadening, texture or thermal motion is included.

```
data_CuNiSe3
_cell_length_a 3.6887
_cell_length_b 5.8869
_cell_length_c 9.4068
_cell_angle_alpha 98.36
_cell_angle_beta 101.13
_cell_angle_gamma 107.61
_space_group_name_H-M_alt 'P -1'
_space_group_IT_number 2
_space_group_name_Hall '-P 1'
loop_
_atom_site_label
_atom_site_type_symbol
_atom_site_fract_x
_atom_site_fract_y
_atom_site_fract_z
Cu1 Cu 0.2155 0.3754 0.0557
Ni1 Ni 0.3069 0.9486 0.6598
Se1 Se 0.1051 0.8060 0.3967
Se2 Se 0.3017 0.3211 0.3029
Se3 Se 0.4495 0.8203 0.0876
```

Main lines, sorted by position (2θ = 10–90°):
- 29.75°, I = 99
- 30.32°, I = 72
- 30.64°, I = 100
- 33.94°, I = 79
- 34.35°, I = 97
- 35.35°, I = 66
- 35.65°, I = 62
- 49.42°, I = 90
- 50.89°, I = 52
- 53.32°, I = 70

Entry 10:
CuNiSe2: theoretical PXRD pattern (CuKα), based on a GGA-PBE-relaxed structure.
No peak broadening, texture or thermal motion is included.

```
data_CuNiSe2
_cell_length_a 3.7781
_cell_length_b 5.2348
_cell_length_c 6.6059
_cell_angle_alpha 90.05
_cell_angle_beta 90.00
_cell_angle_gamma 90.08
_space_group_name_H-M_alt 'P -1'
_space_group_IT_number 2
_space_group_name_Hall '-P 1'
loop_
_atom_site_label
_atom_site_type_symbol
_atom_site_fract_x
_atom_site_fract_y
_atom_site_fract_z
Cu1 Cu 0.0000 0.0000 0.0000
Cu2 Cu 0.0000 0.5000 0.0000
Ni1 Ni 0.5000 0.0000 0.5000
Ni2 Ni 0.5000 0.5000 0.5000
Se1 Se 0.9997 0.2500 0.3473
Se2 Se 0.4993 0.2504 0.8184
```

Main lines, sorted by position (2θ = 10–90°):
- 27.19°, I = 13
- 32.04°, I = 49
- 32.21°, I = 100
- 44.15°, I = 49
- 44.28°, I = 97
- 47.81°, I = 70
- 48.17°, I = 36
- 59.03°, I = 16
- 67.00°, I = 12
- 67.37°, I = 20

Entry 11:
Cu3SiNi4: theoretical PXRD pattern (CuKα), based on a GGA-PBE-relaxed structure.
No peak broadening, texture or thermal motion is included.

```
data_Cu3SiNi4
_cell_length_a 3.7027
_cell_length_b 3.7027
_cell_length_c 13.0797
_cell_angle_alpha 90.00
_cell_angle_beta 90.00
_cell_angle_gamma 90.00
_space_group_name_H-M_alt 'I 4/m m m'
_space_group_IT_number 139
_space_group_name_Hall '-I 4 2'
loop_
_atom_site_label
_atom_site_type_symbol
_atom_site_fract_x
_atom_site_fract_y
_atom_site_fract_z
Cu1 Cu 0.0000 0.0000 0.0000
Cu2 Cu 0.0000 0.0000 0.2488
Si1 Si 0.0000 0.0000 0.5000
Ni1 Ni 0.0000 0.5000 0.1194
```

Main lines, sorted by position (2θ = 10–90°):
- 24.99°, I = 3
- 31.70°, I = 1
- 36.98°, I = 2
- 41.42°, I = 1
- 44.32°, I = 100
- 49.22°, I = 36
- 56.27°, I = 11
- 72.16°, I = 11
- 77.96°, I = 16
- 88.75°, I = 24

Entry 12:
CuSiNi6: theoretical PXRD pattern (CuKα), based on a GGA-PBE-relaxed structure.
No peak broadening, texture or thermal motion is included.

```
data_CuSiNi6
_cell_length_a 7.0409
_cell_length_b 9.9683
_cell_length_c 9.9713
_cell_angle_alpha 90.00
_cell_angle_beta 90.00
_cell_angle_gamma 90.00
_space_group_name_H-M_alt 'C m m m'
_space_group_IT_number 65
_space_group_name_Hall '-C 2 2'
loop_
_atom_site_label
_atom_site_type_symbol
_atom_site_fract_x
_atom_site_fract_y
_atom_site_fract_z
Cu1 Cu 0.0000 0.0000 0.2488
Cu2 Cu 0.0000 0.2466 0.0000
Si1 Si 0.0000 0.2458 0.5000
Si2 Si 0.0000 0.5000 0.2483
Ni1 Ni 0.0000 0.0000 0.0000
Ni2 Ni 0.0000 0.0000 0.5000
Ni3 Ni 0.0000 0.2519 0.2540
Ni4 Ni 0.0000 0.5000 0.0000
Ni5 Ni 0.0000 0.5000 0.5000
Ni6 Ni 0.2460 0.3745 0.3770
Ni7 Ni 0.2457 0.3757 0.1268
```

Main lines, sorted by position (2θ = 10–90°):
- 15.41°, I = 1
- 23.62°, I = 1
- 25.28°, I = 2
- 32.39°, I = 1
- 34.86°, I = 1
- 36.05°, I = 1
- 39.42°, I = 1
- 44.54°, I = 100
- 51.90°, I = 46
- 76.47°, I = 27